Diffraction record for Nd10Ho6Th. The powder X-ray diffraction pattern is simulated, not measured: it uses a cell relaxed with GGA-PBE and Cu Kα.
Neutral-atom scattering factors, no anomalous dispersion.

Atomic structure:
```
Nd10Ho6Th
1.0
9.814 0.000 0.000
-4.907 8.499 0.000
0.000 0.000 6.975
Nd Ho Th
10 6 1
Cartesian
-1.363 2.360 2.245
-3.545 6.139 4.730
2.725 0.000 2.245
1.363 2.360 4.730
0.000 5.666 0.000
0.000 5.666 3.488
4.907 2.833 0.000
4.907 2.833 3.488
7.089 0.000 4.730
3.545 6.139 2.245
-1.789 3.098 5.699
-3.118 5.401 1.276
3.577 0.000 5.699
1.789 3.098 1.276
6.237 0.000 1.276
3.118 5.401 5.699
0.000 0.000 0.000
```

Peak list (6 most intense, 10 to 90 degrees two-theta, in order of falling intensity)
2theta  intensity
31.5  100
31.6  81
30.6  34
56.2  29
45.2  28
56.0  19



Diffraction record for KHg4PbAu2. The powder X-ray diffraction pattern is simulated, not measured: it uses a cell relaxed with GGA-PBE and Cu Kα.
Neutral-atom scattering factors, no anomalous dispersion.

Atomic structure:
```
KHg4PbAu2
1.0
4.223 0.000 0.000
0.000 4.223 0.000
0.000 0.000 12.802
K Hg Pb Au
1 4 1 2
Cartesian
0.000 0.000 0.000
0.000 2.111 2.897
0.000 2.111 9.904
2.111 0.000 2.897
2.111 0.000 9.904
0.000 0.000 6.401
2.111 2.111 5.032
2.111 2.111 7.770
```

Peak list (6 most intense, 10 to 90 degrees two-theta, in order of falling intensity)
2theta  intensity
33.1  100
42.8  43
30.7  35
13.8  29
41.4  27
35.2  25



Diffraction record for TeAs2Pt. The powder X-ray diffraction pattern is simulated, not measured: it uses a cell relaxed with GGA-PBE and Cu Kα.
Neutral-atom scattering factors, no anomalous dispersion.

Atomic structure:
```
TeAs2Pt
1.0
3.832 0.000 0.000
-1.912 4.605 0.000
-1.908 -1.736 5.830
Te As Pt
1 2 1
Cartesian
0.000 0.000 0.000
-1.916 2.804 2.035
-0.001 0.055 3.629
1.916 0.343 1.926
```

Peak list (6 most intense, 10 to 90 degrees two-theta, in order of falling intensity)
2theta  intensity
32.3  100
15.2  83
20.1  81
36.4  67
41.1  49
27.3  47



Diffraction record for Ni2C3N6. The powder X-ray diffraction pattern is simulated, not measured: it uses a cell relaxed with GGA-PBE and Cu Kα.
Neutral-atom scattering factors, no anomalous dispersion.

Atomic structure:
```
Ni2C3N6
1.0
2.696 1.556 4.878
-2.696 1.556 4.878
0.000 -3.113 4.878
Ni C N
2 3 6
Cartesian
0.000 0.000 2.525
0.000 0.000 12.109
-1.871 0.127 4.878
0.825 -1.684 4.878
1.045 1.556 4.878
-2.167 0.005 6.067
-2.167 -0.005 8.566
1.079 -1.879 6.067
1.088 -1.874 8.566
1.088 1.874 6.067
1.079 1.879 8.566
```

Peak list (6 most intense, 10 to 90 degrees two-theta, in order of falling intensity)
2theta  intensity
38.1  100
20.0  82
22.6  56
33.2  45
50.5  42
18.2  39



Diffraction record for Cr5W. The powder X-ray diffraction pattern is simulated, not measured: it uses a cell relaxed with GGA-PBE and Cu Kα.
Neutral-atom scattering factors, no anomalous dispersion.

Atomic structure:
```
Cr5W
1.0
9.206 0.000 0.000
0.000 2.924 0.000
-1.849 0.000 5.547
Cr W
10 2
Cartesian
0.000 0.000 0.000
0.944 1.462 1.807
0.019 1.462 4.671
2.735 0.000 0.876
1.810 0.000 3.740
4.603 1.462 0.000
5.547 0.000 1.807
4.621 0.000 4.671
7.338 1.462 0.876
6.413 1.462 3.740
-0.924 0.000 2.774
3.678 1.462 2.774
```

Peak list (6 most intense, 10 to 90 degrees two-theta, in order of falling intensity)
2theta  intensity
43.8  100
80.5  24
43.9  20
16.0  17
32.3  16
63.7  12